NiSO8: computed XRD peak list (copper Kα), based on a DFT-relaxed cell (GGA+U, the Materials Project).
Peak positions follow from Bragg's law for the DFT cell and can differ from measured ones.

Top 12 peaks for 10° ≤ 2θ ≤ 80°, in order of rising 2θ:
hkl 0 1 1, 2θ 13.81, d 6.414, I 16.5
hkl 1 1 -1, 2θ 17.07, d 5.193, I 100.0
hkl 0 2 1, 2θ 18.12, d 4.895, I 25.0
hkl 1 2 -1, 2θ 20.74, d 4.283, I 92.8
hkl 1 1 -2, 2θ 21.20, d 4.191, I 40.9
hkl 0 0 2, 2θ 24.21, d 3.676, I 83.7
hkl 0 4 0, 2θ 27.19, d 3.280, I 58.7
hkl 1 3 -2, 2θ 28.71, d 3.110, I 22.0
hkl 1 1 1, 2θ 29.40, d 3.038, I 34.7
hkl 1 2 1, 2θ 31.73, d 2.820, I 17.4
hkl 1 2 -3, 2θ 32.42, d 2.762, I 23.9
hkl 1 0 2, 2θ 39.67, d 2.272, I 25.5

Atomic structure:
Lattice parameters (Å, degrees): 5.6569 13.1205 9.1533 90.00 126.55 90.00
Space group P2_1/c (No. 14)
Symmetry-distinct sites (fractional):
Ni1 0.1432 0.1104 0.2291 x4
S1 0.3740 0.6125 0.6794 x4
O1 0.0105 0.0838 0.3560 x4
O2 0.0203 0.2481 0.7117 x4
O3 0.2447 0.5747 0.4895 x4
O4 0.2608 0.5494 0.7611 x4
O5 0.2898 0.7202 0.6764 x4
O6 0.3029 0.1023 0.7142 x4
O7 0.3162 0.1337 0.1213 x4
O8 0.4663 0.6263 0.0961 x4

YNiSO7: computed XRD peak list (copper Kα), based on a DFT-relaxed cell (GGA+U, the Materials Project).
Peak positions follow from Bragg's law for the DFT cell and can differ from measured ones.

Top 12 peaks for 10° ≤ 2θ ≤ 80°, in order of rising 2θ:
hkl 0 0 2, 2θ 12.47, d 7.096, I 100.0
hkl 0 1 2, 2θ 18.96, d 4.682, I 36.8
hkl 1 1 1, 2θ 21.43, d 4.145, I 37.1
hkl 0 1 3, 2θ 23.61, d 3.768, I 27.9
hkl 1 1 2, 2θ 24.06, d 3.699, I 27.2
hkl 1 1 3, 2θ 27.92, d 3.196, I 33.3
hkl 1 0 4, 2θ 29.20, d 3.058, I 37.8
hkl 0 2 2, 2θ 31.36, d 2.852, I 31.1
hkl 2 1 1, 2θ 33.60, d 2.667, I 35.0
hkl 0 1 5, 2θ 34.76, d 2.581, I 41.6
hkl 2 0 4, 2θ 39.20, d 2.298, I 26.6
hkl 2 0 6, 2θ 48.93, d 1.861, I 20.0

Atomic structure:
Lattice parameters (Å, degrees): 6.0343 6.2303 14.1913 90.00 90.00 90.00
Space group P2_12_12_1 (No. 19)
Symmetry-distinct sites (fractional):
Y1 0.2242 0.2056 0.0863 x4
Ni1 0.0291 0.2520 0.5013 x4
S1 0.2191 0.5233 0.8173 x4
O1 0.0060 0.9325 0.6886 x4
O2 0.0137 0.9618 0.4842 x4
O3 0.0308 0.5421 0.5246 x4
O4 0.1244 0.6438 0.3516 x4
O5 0.2045 0.4058 0.2241 x4
O6 0.2180 0.8116 0.0702 x4
O7 0.2216 0.7092 0.8859 x4

YNiSO7: computed XRD peak list (copper Kα), based on a DFT-relaxed cell (GGA+U, the Materials Project).
Peak positions follow from Bragg's law for the DFT cell and can differ from measured ones.

Top 12 peaks for 10° ≤ 2θ ≤ 80°, in order of rising 2θ:
hkl 0 0 2, 2θ 11.20, d 7.899, I 100.0
hkl 0 1 2, 2θ 17.41, d 5.095, I 12.1
hkl 1 1 1, 2θ 20.46, d 4.341, I 6.2
hkl 1 0 3, 2θ 22.25, d 3.996, I 6.6
hkl -1 1 3, 2θ 26.00, d 3.427, I 19.7
hkl 0 1 -4, 2θ 26.23, d 3.398, I 5.2
hkl 0 2 2, 2θ 29.08, d 3.071, I 8.1
hkl 2 1 1, 2θ 32.62, d 2.745, I 17.6
hkl 2 1 3, 2θ 36.48, d 2.463, I 9.4
hkl 1 0 6, 2θ 37.14, d 2.421, I 12.9
hkl 2 0 -6, 2θ 45.39, d 1.998, I 6.9
hkl -2 3 4, 2θ 56.18, d 1.637, I 6.9

Atomic structure:
Lattice parameters (Å, degrees): 6.1351 6.6664 15.7984 89.99 89.99 90.00
Space group P1 (No. 1)
Symmetry-distinct sites (fractional):
Y1 0.0000 0.0000 0.0000 x1
Y2 0.0337 0.3505 0.5001 x1
Y3 0.5000 0.8506 0.8809 x1
Y4 0.5337 0.5001 0.3809 x1
Ni1 0.2480 0.4744 0.9584 x1
Ni2 0.2858 0.9744 0.4227 x1
Ni3 0.7480 0.3761 0.9225 x1
Ni4 0.7859 0.8762 0.4583 x1
S1 0.0927 0.6460 0.3318 x1
S2 0.4408 0.1461 0.0494 x1
S3 0.5927 0.2045 0.5493 x1
S4 0.9408 0.7045 0.8315 x1
O1 0.0463 0.9981 0.4987 x1
O2 0.0505 0.8726 0.3344 x1
O3 0.1518 0.5705 0.6303 x1
O4 0.2052 0.6235 0.4259 x1
O5 0.2475 0.7519 0.9729 x1
O6 0.2522 0.0981 0.1074 x1
O7 0.2632 0.7189 0.6478 x1
O8 0.2703 0.2185 0.7326 x1
O9 0.2811 0.5986 0.2736 x1
O10 0.2862 0.2519 0.4081 x1
O11 0.3286 0.1236 0.9552 x1
O12 0.3809 0.0700 0.7507 x1
O13 0.4824 0.3728 0.0469 x1
O14 0.4875 0.4981 0.8824 x1
O15 0.5462 0.8525 0.3824 x1
O16 0.5508 0.9778 0.5467 x1
O17 0.6529 0.2803 0.2508 x1
O18 0.7051 0.2271 0.4552 x1
O19 0.7475 0.0986 0.9080 x1
O20 0.7523 0.7525 0.7735 x1
O21 0.7614 0.1303 0.2329 x1
O22 0.7686 0.6327 0.1485 x1
O23 0.7811 0.2521 0.6074 x1
O24 0.7862 0.5987 0.4729 x1
O25 0.8287 0.7270 0.9257 x1
O26 0.8820 0.7792 0.1302 x1
O27 0.9824 0.4778 0.8340 x1
O28 0.9875 0.3525 0.9985 x1

Ni2Sb2O7: computed XRD peak list (copper Kα), based on a DFT-relaxed cell (GGA+U, the Materials Project).
Peak positions follow from Bragg's law for the DFT cell and can differ from measured ones.

Top 12 peaks for 10° ≤ 2θ ≤ 80°, in order of rising 2θ:
hkl 1 1 1, 2θ 15.05, d 5.886, I 15.6
hkl 3 1 1, 2θ 29.05, d 3.074, I 12.6
hkl 2 2 2, 2θ 30.37, d 2.943, I 100.0
hkl 4 0 0, 2θ 35.21, d 2.549, I 27.2
hkl 3 3 3, 2θ 46.28, d 1.962, I 3.7
hkl 4 4 0, 2θ 50.65, d 1.802, I 49.0
hkl 5 3 1, 2θ 53.15, d 1.723, I 2.9
hkl 6 2 2, 2θ 60.21, d 1.537, I 40.4
hkl 4 4 4, 2θ 63.19, d 1.471, I 8.7
hkl 5 5 1, 2θ 65.37, d 1.428, I 2.3
hkl 7 3 1, 2θ 71.02, d 1.327, I 3.4
hkl 8 0 0, 2θ 74.45, d 1.274, I 6.7

Atomic structure:
Lattice parameters (Å, degrees): 10.1944 10.1944 10.1944 90.00 90.00 90.00
Space group Fd-3m (No. 227, origin choice 2)
Symmetry-distinct sites (fractional):
Ni1 0.0000 0.0000 0.0000 x16
Sb1 0.0000 0.0000 0.5000 x16
O1 0.0811 0.3750 0.8750 x48
O2 0.1250 0.1250 0.1250 x8

NiSb2O6: computed XRD peak list (copper Kα), based on a DFT-relaxed cell (GGA+U, the Materials Project).
Peak positions follow from Bragg's law for the DFT cell and can differ from measured ones.

Top 12 peaks for 10° ≤ 2θ ≤ 80°, in order of rising 2θ:
hkl 1 0 1, 2θ 21.08, d 4.214, I 10.8
hkl 1 1 0, 2θ 26.72, d 3.337, I 100.0
hkl 1 0 3, 2θ 34.44, d 2.604, I 74.8
hkl 2 0 0, 2θ 38.14, d 2.359, I 20.3
hkl 2 1 3, 2θ 52.33, d 1.748, I 64.3
hkl 2 2 0, 2θ 55.05, d 1.668, I 16.1
hkl 0 0 6, 2θ 59.18, d 1.561, I 7.6
hkl 3 1 0, 2θ 62.21, d 1.492, I 13.9
hkl 1 1 6, 2θ 66.08, d 1.414, I 14.3
hkl 3 0 3, 2θ 66.57, d 1.405, I 19.5
hkl 2 0 6, 2θ 72.62, d 1.302, I 6.8
hkl 3 2 3, 2θ 79.39, d 1.207, I 11.5

Atomic structure:
Lattice parameters (Å, degrees): 4.7186 4.7186 9.3668 90.00 90.00 90.00
Space group P4_2/mnm (No. 136)
Symmetry-distinct sites (fractional):
Ni1 0.0000 0.0000 0.0000 x2
Sb1 0.0000 0.0000 0.3323 x4
O1 0.1905 0.1905 0.5000 x4
O2 0.1971 0.1971 0.1708 x8